Diffraction record for TmTlCuBr5. The powder diffractogram is simulated, not measured: it uses a PBE-relaxed structure and Cu Kα.
Neutral-atom scattering factors, no anomalous dispersion.

Cell and atoms:
```
data_TmTlCuBr5
_cell_length_a 9.213
_cell_length_b 12.345
_cell_length_c 10.423
_cell_angle_alpha 90.00
_cell_angle_beta 113.40
_cell_angle_gamma 90.00
_symmetry_space_group_name_H-M 'C 1 2/c 1'
_symmetry_Int_Tables_number 15
loop_
_symmetry_equiv_pos_as_xyz
'x,y,z'
'-x,-y,-z'
'-x,y,-z+1/2'
'x,-y,z+1/2'
'x+1/2,y+1/2,z'
'-x+1/2,-y+1/2,-z'
'-x+1/2,y+1/2,-z+1/2'
'x+1/2,-y+1/2,z+1/2'
loop_
_atom_site_label
_atom_site_type_symbol
_atom_site_fract_x
_atom_site_fract_y
_atom_site_fract_z
Tm1 Tm 0.000 0.000 0.000
Tl1 Tl 0.000 0.356 0.250
Cu1 Cu 0.000 0.307 0.750
Br1 Br 0.000 0.079 0.250
Br2 Br 0.111 0.203 0.611
Br3 Br 0.191 0.431 0.930
```

Peak list (10 most intense, 10 to 90 degrees two-theta, most intense first)
| d_spacing | 2θ/deg | I_rel | hkl |
| --- | --- | --- | --- |
| 4.734 | 18.7 | 100 | 1 1 -2 |
| 4.228 | 21.0 | 55 | 2 0 0 |
| 3.265 | 27.3 | 55 | 1 3 1 |
| 2.460 | 36.5 | 51 | 2 4 -2 |
| 2.034 | 44.5 | 44 | 4 0 -4 |
| 3.700 | 24.1 | 41 | 1 3 0 |
| 3.344 | 26.7 | 37 | 1 1 -3 |
| 2.325 | 38.7 | 35 | 3 3 0 |
| 3.781 | 23.5 | 33 | 0 2 2 |
| 2.594 | 34.6 | 29 | 0 4 2 |

=====

Diffraction record for TlVCuBr6. The powder diffractogram is simulated, not measured: it uses a PBE-relaxed structure and Cu Kα.
Neutral-atom scattering factors, no anomalous dispersion.

Cell and atoms:
```
data_TlVCuBr6
_cell_length_a 6.670
_cell_length_b 6.686
_cell_length_c 7.224
_cell_angle_alpha 92.14
_cell_angle_beta 92.62
_cell_angle_gamma 115.92
_symmetry_space_group_name_H-M 'P 1'
_symmetry_Int_Tables_number 1
loop_
_symmetry_equiv_pos_as_xyz
'x,y,z'
loop_
_atom_site_label
_atom_site_type_symbol
_atom_site_fract_x
_atom_site_fract_y
_atom_site_fract_z
Tl1 Tl 0.000 0.000 0.000
V1 V 0.663 0.339 0.502
Cu1 Cu 0.326 0.690 0.492
Br1 Br 0.365 0.036 0.673
Br2 Br 0.367 0.396 0.292
Br3 Br 0.606 0.640 0.703
Br4 Br 0.634 0.041 0.276
Br5 Br 0.955 0.370 0.733
Br6 Br 0.968 0.631 0.325
```

Peak list (10 most intense, 10 to 90 degrees two-theta, most intense first)
| d_spacing | 2θ/deg | I_rel | hkl |
| --- | --- | --- | --- |
| 4.462 | 19.9 | 100 | 1 0 1 |
| 3.072 | 29.1 | 94 | 1 1 1 |
| 4.765 | 18.6 | 77 | 1 0 -1 |
| 2.627 | 34.1 | 56 | 1 1 -2 |
| 2.394 | 37.6 | 48 | 2 -1 2 |
| 2.407 | 37.4 | 46 | -1 2 2 |
| 3.063 | 29.2 | 45 | 1 -2 1 |
| 4.439 | 20.0 | 36 | 1 -1 1 |
| 2.833 | 31.6 | 31 | 2 -2 0 |
| 2.246 | 40.1 | 27 | 2 1 -1 |

=====

Diffraction record for VCu3Br. The powder diffractogram is simulated, not measured: it uses a PBE-relaxed structure and Cu Kα.
Neutral-atom scattering factors, no anomalous dispersion.

Cell and atoms:
```
data_VCu3Br
_cell_length_a 4.655
_cell_length_b 4.655
_cell_length_c 4.655
_cell_angle_alpha 90.00
_cell_angle_beta 90.00
_cell_angle_gamma 90.00
_symmetry_space_group_name_H-M 'P m -3 m'
_symmetry_Int_Tables_number 221
_symmetry_space_group_name_Hall '-P 4 2 3'
loop_
_atom_site_label
_atom_site_type_symbol
_atom_site_fract_x
_atom_site_fract_y
_atom_site_fract_z
V1 V 0.000 0.000 0.000
Cu1 Cu 0.000 0.500 0.500
Br1 Br 0.500 0.500 0.500
```

Peak list (10 most intense, 10 to 90 degrees two-theta, most intense first)
| d_spacing | 2θ/deg | I_rel | hkl |
| --- | --- | --- | --- |
| 2.328 | 38.7 | 100 | 2 0 0 |
| 1.646 | 55.9 | 64 | 2 2 0 |
| 2.688 | 33.3 | 55 | 1 1 1 |
| 4.655 | 19.1 | 53 | 1 0 0 |
| 2.082 | 43.5 | 25 | 2 1 0 |
| 1.344 | 70.0 | 21 | 2 2 2 |
| 3.292 | 27.1 | 19 | 1 1 0 |
| 1.404 | 66.6 | 18 | 3 1 1 |
| 1.552 | 59.6 | 12 | 3 0 0 |
| 1.164 | 83.0 | 10 | 4 0 0 |

=====

Diffraction record for VCu2Br4. The powder diffractogram is simulated, not measured: it uses a PBE-relaxed structure and Cu Kα.
Neutral-atom scattering factors, no anomalous dispersion.

Cell and atoms:
```
data_VCu2Br4
_cell_length_a 5.760
_cell_length_b 5.760
_cell_length_c 11.233
_cell_angle_alpha 90.00
_cell_angle_beta 90.00
_cell_angle_gamma 90.00
_symmetry_space_group_name_H-M 'I -4 2 m'
_symmetry_Int_Tables_number 121
_symmetry_space_group_name_Hall 'I -4 2'
loop_
_atom_site_label
_atom_site_type_symbol
_atom_site_fract_x
_atom_site_fract_y
_atom_site_fract_z
V1 V 0.000 0.000 0.000
Cu1 Cu 0.000 0.500 0.250
Br1 Br 0.242 0.242 0.626
```

Peak list (10 most intense, 10 to 90 degrees two-theta, most intense first)
| d_spacing | 2θ/deg | I_rel | hkl |
| --- | --- | --- | --- |
| 3.297 | 27.0 | 100 | 1 1 2 |
| 2.011 | 45.1 | 44 | 2 0 4 |
| 1.733 | 52.8 | 29 | 3 1 2 |
| 2.036 | 44.5 | 23 | 2 2 0 |
| 1.171 | 82.4 | 14 | 4 2 4 |
| 1.701 | 53.9 | 14 | 1 1 6 |
| 1.305 | 72.4 | 11 | 3 1 6 |
| 1.440 | 64.7 | 7 | 4 0 0 |
| 1.156 | 83.7 | 7 | 2 2 8 |
| 1.107 | 88.2 | 7 | 5 1 2 |

=====

Diffraction record for Zn2CuBr. The powder diffractogram is simulated, not measured: it uses a PBE-relaxed structure and Cu Kα.
Neutral-atom scattering factors, no anomalous dispersion.

Cell and atoms:
```
data_Zn2CuBr
_cell_length_a 3.5155
_cell_length_b 3.5155
_cell_length_c 21.5179
_cell_angle_alpha 90.00
_cell_angle_beta 90.00
_cell_angle_gamma 120.00
_symmetry_space_group_name_H-M 'R 3 m'
_symmetry_Int_Tables_number 160
_symmetry_space_group_name_Hall 'R 3 -2"'
loop_
_atom_site_label
_atom_site_type_symbol
_atom_site_fract_x
_atom_site_fract_y
_atom_site_fract_z
Zn1 Zn 0.0000 0.0000 0.0000
Zn2 Zn 0.0000 0.0000 0.2550
Cu1 Cu 0.0000 0.0000 0.5149
Br1 Br 0.0000 0.0000 0.7718
```

Peak list (10 most intense, 10 to 90 degrees two-theta, most intense first)
| d_spacing | 2θ/deg | I_rel | hkl |
| --- | --- | --- | --- |
| 2.650 | 33.8 | 100 | 1 0 4 |
| 2.016 | 45.0 | 38 | 0 1 8 |
| 1.758 | 52.0 | 31 | 1 1 0 |
| 1.465 | 63.5 | 15 | 0 2 4 |
| 1.125 | 86.5 | 12 | 2 1 4 |
| 1.255 | 75.8 | 12 | 1 1 12 |
| 1.325 | 71.2 | 9 | 2 0 8 |
| 1.793 | 50.9 | 7 | 0 0 12 |
| 1.111 | 87.8 | 5 | 1 1 15 |
| 1.646 | 55.9 | 4 | 0 1 11 |

=====

Diffraction record for ZrCu3Br9. The powder diffractogram is simulated, not measured: it uses a PBE-relaxed structure and Cu Kα.
Neutral-atom scattering factors, no anomalous dispersion.

Cell and atoms:
```
data_ZrCu3Br9
_cell_length_a 18.874
_cell_length_b 9.295
_cell_length_c 12.745
_cell_angle_alpha 90.00
_cell_angle_beta 126.59
_cell_angle_gamma 90.00
_symmetry_space_group_name_H-M 'C 1 c 1'
_symmetry_Int_Tables_number 9
loop_
_symmetry_equiv_pos_as_xyz
'x,y,z'
'x,-y,z+1/2'
'x+1/2,y+1/2,z'
'x+1/2,-y+1/2,z+1/2'
loop_
_atom_site_label
_atom_site_type_symbol
_atom_site_fract_x
_atom_site_fract_y
_atom_site_fract_z
Zr1 Zr 0.000 0.232 0.000
Cu1 Cu 0.137 0.125 0.834
Cu2 Cu 0.188 0.376 0.633
Cu3 Cu 0.357 0.083 0.655
Br1 Br 0.126 0.052 0.169
Br2 Br 0.147 0.361 0.769
Br3 Br 0.152 0.380 0.067
Br4 Br 0.251 0.273 0.543
Br5 Br 0.288 0.115 0.008
Br6 Br 0.374 0.438 0.422
Br7 Br 0.409 0.033 0.363
Br8 Br 0.497 0.163 0.691
Br9 Br 0.499 0.379 0.300
```

Peak list (10 most intense, 10 to 90 degrees two-theta, most intense first)
| d_spacing | 2θ/deg | I_rel | hkl |
| --- | --- | --- | --- |
| 5.491 | 16.1 | 100 | 1 1 1 |
| 2.997 | 29.8 | 35 | 3 1 -4 |
| 4.832 | 18.4 | 34 | 3 1 -2 |
| 3.108 | 28.7 | 33 | 2 2 -3 |
| 2.937 | 30.4 | 32 | 4 2 0 |
| 3.497 | 25.5 | 31 | 5 1 -2 |
| 3.403 | 26.2 | 30 | 2 0 2 |
| 3.359 | 26.5 | 24 | 2 2 1 |
| 7.497 | 11.8 | 23 | 1 1 -1 |
| 2.267 | 39.8 | 20 | 7 1 -5 |

=====

Diffraction record for Dy4Br. The powder diffractogram is simulated, not measured: it uses a PBE-relaxed structure and Cu Kα.
Neutral-atom scattering factors, no anomalous dispersion.

Cell and atoms:
```
data_Dy4Br
_cell_length_a 5.422
_cell_length_b 5.422
_cell_length_c 5.422
_cell_angle_alpha 90.00
_cell_angle_beta 90.00
_cell_angle_gamma 90.00
_symmetry_space_group_name_H-M 'P m -3 m'
_symmetry_Int_Tables_number 221
_symmetry_space_group_name_Hall '-P 4 2 3'
loop_
_atom_site_label
_atom_site_type_symbol
_atom_site_fract_x
_atom_site_fract_y
_atom_site_fract_z
Dy1 Dy 0.000 0.000 0.000
Dy2 Dy 0.000 0.500 0.500
Br1 Br 0.500 0.500 0.500
```

Peak list (10 most intense, 10 to 90 degrees two-theta, most intense first)
| d_spacing | 2θ/deg | I_rel | hkl |
| --- | --- | --- | --- |
| 3.131 | 28.5 | 100 | 1 1 1 |
| 2.711 | 33.0 | 86 | 2 0 0 |
| 1.917 | 47.4 | 63 | 2 2 0 |
| 1.635 | 56.3 | 46 | 3 1 1 |
| 1.212 | 79.0 | 28 | 4 2 0 |
| 1.107 | 88.3 | 22 | 4 2 2 |
| 1.565 | 59.0 | 22 | 2 2 2 |
| 1.244 | 76.6 | 18 | 3 3 1 |
| 1.356 | 69.3 | 10 | 4 0 0 |
| 5.422 | 16.3 | 6 | 1 0 0 |

=====

Diffraction record for Dy5Fe2Br2. The powder diffractogram is simulated, not measured: it uses a PBE-relaxed structure and Cu Kα.
Neutral-atom scattering factors, no anomalous dispersion.

Cell and atoms:
```
data_Dy5Fe2Br2
_cell_length_a 16.234
_cell_length_b 7.515
_cell_length_c 7.503
_cell_angle_alpha 90.00
_cell_angle_beta 90.00
_cell_angle_gamma 90.00
_symmetry_space_group_name_H-M 'C m c e'
_symmetry_Int_Tables_number 64
_symmetry_space_group_name_Hall '-C 2ac 2'
loop_
_atom_site_label
_atom_site_type_symbol
_atom_site_fract_x
_atom_site_fract_y
_atom_site_fract_z
Dy1 Dy 0.000 0.000 0.000
Dy2 Dy 0.111 0.164 0.337
Fe1 Fe 0.000 0.121 0.620
Br1 Br 0.221 0.000 0.000
```

Peak list (10 most intense, 10 to 90 degrees two-theta, most intense first)
| d_spacing | 2θ/deg | I_rel | hkl |
| --- | --- | --- | --- |
| 2.756 | 32.5 | 100 | 4 2 0 |
| 2.349 | 38.3 | 99 | 1 3 1 |
| 2.588 | 34.7 | 74 | 4 2 1 |
| 8.117 | 10.9 | 58 | 2 0 0 |
| 2.334 | 38.6 | 57 | 5 1 2 |
| 2.770 | 32.3 | 48 | 5 1 1 |
| 1.436 | 64.9 | 42 | 9 3 1 |
| 3.287 | 27.1 | 42 | 1 1 2 |
| 3.360 | 26.5 | 42 | 0 2 1 |
| 1.554 | 59.5 | 40 | 5 3 3 |

=====

Diffraction record for GdDyBr. The powder diffractogram is simulated, not measured: it uses a PBE-relaxed structure and Cu Kα.
Neutral-atom scattering factors, no anomalous dispersion.

Cell and atoms:
```
data_GdDyBr
_cell_length_a 3.7389
_cell_length_b 3.7389
_cell_length_c 7.2954
_cell_angle_alpha 90.00
_cell_angle_beta 90.00
_cell_angle_gamma 120.00
_symmetry_space_group_name_H-M 'P 3 m 1'
_symmetry_Int_Tables_number 156
loop_
_symmetry_equiv_pos_as_xyz
'x,y,z'
'-y,x-y,z'
'-x+y,-x,z'
'-y,-x,z'
'-x+y,y,z'
'x,x-y,z'
loop_
_atom_site_label
_atom_site_type_symbol
_atom_site_fract_x
_atom_site_fract_y
_atom_site_fract_z
Gd1 Gd 0.0000 0.0000 0.0000
Dy1 Dy 0.3333 0.6667 0.6352
Br1 Br 0.6667 0.3333 0.3221
```

Peak list (10 most intense, 10 to 90 degrees two-theta, most intense first)
| d_spacing | 2θ/deg | I_rel | hkl |
| --- | --- | --- | --- |
| 2.960 | 30.2 | 100 | 1 0 1 |
| 2.422 | 37.1 | 53 | 0 1 2 |
| 1.869 | 48.7 | 25 | 1 1 0 |
| 1.482 | 62.7 | 22 | 1 1 3 |
| 2.432 | 37.0 | 17 | 0 0 3 |
| 1.589 | 58.0 | 16 | 1 0 4 |
| 1.581 | 58.4 | 15 | 0 2 1 |
| 1.207 | 79.4 | 13 | 2 1 1 |
| 1.480 | 62.8 | 11 | 2 0 2 |
| 1.160 | 83.3 | 10 | 1 2 2 |

=====

Diffraction record for Dy4GeBr5. The powder diffractogram is simulated, not measured: it uses a PBE-relaxed structure and Cu Kα.
Neutral-atom scattering factors, no anomalous dispersion.

Cell and atoms:
```
data_Dy4GeBr5
_cell_length_a 18.103
_cell_length_b 4.051
_cell_length_c 8.398
_cell_angle_alpha 90.00
_cell_angle_beta 102.49
_cell_angle_gamma 90.00
_symmetry_space_group_name_H-M 'C 1 2/m 1'
_symmetry_Int_Tables_number 12
loop_
_symmetry_equiv_pos_as_xyz
'x,y,z'
'-x,-y,-z'
'-x,y,-z'
'x,-y,z'
'x+1/2,y+1/2,z'
'-x+1/2,-y+1/2,-z'
'-x+1/2,y+1/2,-z'
'x+1/2,-y+1/2,z'
loop_
_atom_site_label
_atom_site_type_symbol
_atom_site_fract_x
_atom_site_fract_y
_atom_site_fract_z
Dy1 Dy 0.001 0.000 0.224
Dy2 Dy 0.153 0.500 0.078
Ge1 Ge 0.000 0.500 0.000
Br1 Br 0.000 0.500 0.500
Br2 Br 0.167 0.000 0.328
Br3 Br 0.172 0.000 0.836
```

Peak list (10 most intense, 10 to 90 degrees two-theta, most intense first)
| d_spacing | 2θ/deg | I_rel | hkl |
| --- | --- | --- | --- |
| 2.915 | 30.7 | 100 | 1 1 -2 |
| 8.199 | 10.8 | 51 | 0 0 1 |
| 2.946 | 30.3 | 49 | 6 0 0 |
| 2.084 | 43.4 | 36 | 5 1 2 |
| 2.061 | 43.9 | 33 | 7 1 -2 |
| 8.837 | 10.0 | 20 | 2 0 0 |
| 2.026 | 44.7 | 18 | 0 2 0 |
| 1.669 | 55.0 | 18 | 6 2 0 |
| 2.099 | 43.1 | 18 | 2 0 -4 |
| 1.458 | 63.9 | 11 | 2 2 -4 |

=====

Diffraction record for RbDyGeBr6. The powder diffractogram is simulated, not measured: it uses a PBE-relaxed structure and Cu Kα.
Neutral-atom scattering factors, no anomalous dispersion.

Cell and atoms:
```
data_RbDyGeBr6
_cell_length_a 7.3446
_cell_length_b 7.3446
_cell_length_c 7.6426
_cell_angle_alpha 90.00
_cell_angle_beta 90.00
_cell_angle_gamma 120.00
_symmetry_space_group_name_H-M 'P 3 1 2'
_symmetry_Int_Tables_number 149
loop_
_symmetry_equiv_pos_as_xyz
'x,y,z'
'-y,x-y,z'
'-x+y,-x,z'
'-y,-x,-z'
'-x+y,y,-z'
'x,x-y,-z'
loop_
_atom_site_label
_atom_site_type_symbol
_atom_site_fract_x
_atom_site_fract_y
_atom_site_fract_z
Rb1 Rb 0.0000 0.0000 0.0000
Dy1 Dy 0.6667 0.3333 0.5000
Ge1 Ge 0.3333 0.6667 0.5000
Br1 Br 0.3744 0.0022 0.7119
```

Peak list (10 most intense, 10 to 90 degrees two-theta, most intense first)
| d_spacing | 2θ/deg | I_rel | hkl |
| --- | --- | --- | --- |
| 2.648 | 33.9 | 100 | 2 -1 2 |
| 3.310 | 26.9 | 93 | 2 -1 1 |
| 4.889 | 18.1 | 81 | 1 0 1 |
| 7.643 | 11.6 | 48 | 0 0 1 |
| 2.120 | 42.6 | 44 | 3 0 0 |
| 2.293 | 39.3 | 30 | 3 -1 1 |
| 2.093 | 43.2 | 29 | 1 1 3 |
| 6.361 | 13.9 | 21 | 1 0 0 |
| 1.719 | 53.3 | 19 | 3 1 1 |
| 1.655 | 55.5 | 19 | 2 2 2 |

=====

Diffraction record for Dy2HBr3. The powder diffractogram is simulated, not measured: it uses a PBE-relaxed structure and Cu Kα.
Neutral-atom scattering factors, no anomalous dispersion.

Cell and atoms:
```
data_Dy2HBr3
_cell_length_a 17.904
_cell_length_b 3.814
_cell_length_c 11.292
_cell_angle_alpha 90.00
_cell_angle_beta 122.05
_cell_angle_gamma 90.00
_symmetry_space_group_name_H-M 'C 1 2/m 1'
_symmetry_Int_Tables_number 12
loop_
_symmetry_equiv_pos_as_xyz
'x,y,z'
'-x,-y,-z'
'-x,y,-z'
'x,-y,z'
'x+1/2,y+1/2,z'
'-x+1/2,-y+1/2,-z'
'-x+1/2,y+1/2,-z'
'x+1/2,-y+1/2,z'
loop_
_atom_site_label
_atom_site_type_symbol
_atom_site_fract_x
_atom_site_fract_y
_atom_site_fract_z
Dy1 Dy 0.073 0.000 0.462
Dy2 Dy 0.138 0.500 0.795
H1 H 0.078 0.000 0.666
Br1 Br 0.036 0.500 0.244
Br2 Br 0.166 0.000 0.011
Br3 Br 0.212 0.500 0.619
```

Peak list (10 most intense, 10 to 90 degrees two-theta, most intense first)
| d_spacing | 2θ/deg | I_rel | hkl |
| --- | --- | --- | --- |
| 8.552 | 10.3 | 100 | 2 0 -1 |
| 2.759 | 32.4 | 52 | 1 1 2 |
| 3.309 | 26.9 | 51 | 1 1 1 |
| 3.129 | 28.5 | 46 | 1 1 -2 |
| 2.847 | 31.4 | 39 | 6 0 -1 |
| 2.102 | 43.0 | 34 | 7 1 -3 |
| 2.109 | 42.9 | 26 | 5 1 1 |
| 2.265 | 39.8 | 24 | 3 1 -4 |
| 2.455 | 36.6 | 23 | 5 1 -3 |
| 2.804 | 31.9 | 23 | 4 0 -4 |

=====

Diffraction record for RbDyHgBr6. The powder diffractogram is simulated, not measured: it uses a PBE-relaxed structure and Cu Kα.
Neutral-atom scattering factors, no anomalous dispersion.

Cell and atoms:
```
data_RbDyHgBr6
_cell_length_a 7.3761
_cell_length_b 7.3761
_cell_length_c 7.6530
_cell_angle_alpha 90.00
_cell_angle_beta 90.00
_cell_angle_gamma 120.00
_symmetry_space_group_name_H-M 'P 3 1 2'
_symmetry_Int_Tables_number 149
loop_
_symmetry_equiv_pos_as_xyz
'x,y,z'
'-y,x-y,z'
'-x+y,-x,z'
'-y,-x,-z'
'-x+y,y,-z'
'x,x-y,-z'
loop_
_atom_site_label
_atom_site_type_symbol
_atom_site_fract_x
_atom_site_fract_y
_atom_site_fract_z
Rb1 Rb 0.0000 0.0000 0.0000
Dy1 Dy 0.6667 0.3333 0.5000
Hg1 Hg 0.3333 0.6667 0.5000
Br1 Br 0.3789 0.0053 0.2842
```

Peak list (10 most intense, 10 to 90 degrees two-theta, most intense first)
| d_spacing | 2θ/deg | I_rel | hkl |
| --- | --- | --- | --- |
| 2.655 | 33.8 | 100 | 1 1 2 |
| 4.904 | 18.1 | 81 | 1 0 1 |
| 3.322 | 26.8 | 79 | 1 1 1 |
| 7.653 | 11.6 | 64 | 0 0 1 |
| 2.129 | 42.5 | 40 | 3 0 0 |
| 2.098 | 43.1 | 30 | 2 -1 3 |
| 2.303 | 39.1 | 29 | 2 1 1 |
| 6.388 | 13.9 | 24 | 1 0 0 |
| 1.661 | 55.3 | 19 | 4 -2 2 |
| 1.726 | 53.1 | 17 | 4 -1 1 |

=====

Diffraction record for DyIBr3. The powder diffractogram is simulated, not measured: it uses a PBE-relaxed structure and Cu Kα.
Neutral-atom scattering factors, no anomalous dispersion.

Cell and atoms:
```
data_DyIBr3
_cell_length_a 8.546
_cell_length_b 10.275
_cell_length_c 8.805
_cell_angle_alpha 90.00
_cell_angle_beta 90.00
_cell_angle_gamma 90.00
_symmetry_space_group_name_H-M 'I m m a'
_symmetry_Int_Tables_number 74
_symmetry_space_group_name_Hall '-I 2b 2'
loop_
_atom_site_label
_atom_site_type_symbol
_atom_site_fract_x
_atom_site_fract_y
_atom_site_fract_z
Dy1 Dy 0.250 0.250 0.250
I1 I 0.000 0.250 0.506
Br1 Br 0.000 0.250 0.040
Br2 Br 0.250 0.016 0.750
```

Peak list (10 most intense, 10 to 90 degrees two-theta, most intense first)
| d_spacing | 2θ/deg | I_rel | hkl |
| --- | --- | --- | --- |
| 3.066 | 29.1 | 100 | 2 0 2 |
| 6.686 | 13.2 | 59 | 0 1 1 |
| 1.969 | 46.1 | 53 | 2 4 2 |
| 2.569 | 34.9 | 30 | 0 4 0 |
| 5.137 | 17.3 | 28 | 0 2 0 |
| 3.192 | 28.0 | 21 | 0 3 1 |
| 3.285 | 27.1 | 20 | 2 2 0 |
| 2.201 | 41.0 | 19 | 0 0 4 |
| 2.137 | 42.3 | 19 | 4 0 0 |
| 2.633 | 34.1 | 19 | 2 2 -2 |